[1]
Diffraction record for LiY3. The XRD peak list is simulated, not measured: it uses a DFT-relaxed cell (GGA-PBE, the Materials Project) and copper Kα.

Largest 8 diffraction maxima, most intense first, 15 to 90 degrees two-theta:
- d 2.840, 31.50 deg, intensity 100
- d 2.460, 36.53 deg, intensity 50
- d 1.483, 62.63 deg, intensity 39
- d 1.739, 52.62 deg, intensity 34
- d 4.920, 18.03 deg, intensity 29
- d 3.479, 25.61 deg, intensity 25
- d 1.129, 86.16 deg, intensity 16
- d 1.100, 88.98 deg, intensity 15

Atomic structure:
abc: 4.9197 4.9197 4.9197
angles: 90.00 90.00 90.00
Atoms (fractional coordinates):
1 Li 0.0000 0.0000 0.0000
2 Y 0.0000 0.5000 0.5000
3 Y 0.5000 0.0000 0.5000
4 Y 0.5000 0.5000 0.0000

---

[2]
Diffraction record for Ba6Ca2TaRu3O18. The XRD peak list is simulated, not measured: it uses a DFT-relaxed cell (GGA-PBE, the Materials Project) and copper Kα.

Largest 8 diffraction maxima, most intense first, 15 to 90 degrees two-theta:
- d 3.003, 29.75 deg, intensity 100
- d 3.030, 29.48 deg, intensity 61
- d 2.133, 42.38 deg, intensity 37
- d 1.739, 52.63 deg, intensity 23
- d 1.734, 52.80 deg, intensity 20
- d 1.501, 61.79 deg, intensity 19
- d 3.593, 24.78 deg, intensity 19
- d 2.304, 39.09 deg, intensity 16

Atomic structure:
abc: 6.0058 6.0058 14.9117
angles: 90.00 90.00 120.00
Atoms (fractional coordinates):
1 Ba 0.0000 0.0000 0.0000
2 Ba 0.0000 0.0000 0.2988
3 Ba 0.3333 0.6667 0.1474
4 Ba 0.3333 0.6667 0.6451
5 Ba 0.6667 0.3333 0.4977
6 Ba 0.6667 0.3333 0.8010
7 Ca 0.3333 0.6667 0.3971
8 Ca 0.3333 0.6667 0.8986
9 Ta 0.0000 0.0000 0.7423
10 Ru 0.0000 0.0000 0.5531
11 Ru 0.6667 0.3333 0.0550
12 Ru 0.6667 0.3333 0.2406
13 O 0.1562 0.3124 0.4858
14 O 0.1562 0.8438 0.4858
15 O 0.1598 0.3196 0.8059
16 O 0.1598 0.8402 0.8059
17 O 0.3002 0.1501 0.6452
18 O 0.3666 0.1833 0.1471
19 O 0.5100 0.0200 0.3069
20 O 0.5100 0.4900 0.3069
21 O 0.5106 0.0212 0.9873
22 O 0.5106 0.4894 0.9873
23 O 0.6804 0.8402 0.8059
24 O 0.6876 0.8438 0.4858
25 O 0.8167 0.1833 0.1471
26 O 0.8167 0.6334 0.1471
27 O 0.8499 0.1501 0.6452
28 O 0.8499 0.6998 0.6452
29 O 0.9788 0.4894 0.9873
30 O 0.9800 0.4900 0.3069